# Zn2PHO5
Computed powder diffraction line list, Cu Kα (λ = 1.5418 Å). Input: a crystal structure in Alexandria, relaxed with GGA-PBE.
Kinematic intensities with the Lorentz-polarization factor, no thermal factor.

The 10 most intense peaks (2θ = 10–80°), in order of falling intensity:
hkl, 2θ/deg, d_spacing, I_rel
0 2 0, 31.8, 2.812, 100
0 0 1, 14.0, 6.310, 93
1 0 -1, 23.5, 3.785, 92
1 1 2, 30.7, 2.915, 87
2 -1 0, 36.4, 2.467, 77
-1 1 1, 26.6, 3.345, 62
2 1 1, 35.2, 2.549, 58
1 0 2, 29.7, 3.008, 40
1 0 1, 19.2, 4.626, 38
1 0 0, 16.1, 5.492, 37

Crystal structure
```
data_Zn2PHO5
_cell_length_a 5.612
_cell_length_b 5.766
_cell_length_c 6.603
_cell_angle_alpha 77.26
_cell_angle_beta 78.16
_cell_angle_gamma 87.31
_space_group_name_H-M_alt 'P -1'
_space_group_IT_number 2
loop_
_space_group_symop_operation_xyz
'x,y,z'
'-x,-y,-z'
loop_
_atom_site_label
_atom_site_fract_x
_atom_site_fract_y
_atom_site_fract_z
Zn1 0.031 0.238 0.310
Zn2 0.387 0.748 0.008
P1 0.160 0.251 0.777
H1 0.443 0.402 0.320
O1 0.031 0.749 0.015
O2 0.056 0.113 0.635
O3 0.221 0.508 0.654
O4 0.364 0.386 0.204
O5 0.396 0.121 0.835
```